Starting from the GGA-PBE geometry in Alexandria, the X-ray powder pattern of Nd2CuSi3Rh2 was calculated for λ = 1.5418 Å (Cu Kα).
Peak positions follow from Bragg's law for the DFT cell and can differ from measured ones.

Cell and atoms:
a b c (Å): 4.124 4.133 17.203
angles (deg): 90.00 90.00 90.00
Space group Amm2 (No. 38)
Inequivalent atoms, fractional coordinates:
Nd: 0.000 0.000 0.000 [2 per cell]
Nd: 0.500 0.000 0.207 [2 per cell]
Cu: 0.500 0.000 0.569 [2 per cell]
Si: 0.000 0.000 0.637 [2 per cell]
Si: 0.000 0.000 0.779 [2 per cell]
Si: 0.500 0.000 0.428 [2 per cell]
Rh: 0.000 0.000 0.353 [2 per cell]
Rh: 0.500 0.000 0.854 [2 per cell]

Principal peaks in the range 2θ from 15° to 90°, by angle:
| (hkl) | 2θ/deg | Rel. int. |
| --- | --- | --- |
| 1 0 2 | 23.93 | 17 |
| 0 0 6 | 31.20 | 14 |
| 0 1 5 | 33.90 | 26 |
| 1 1 3 | 34.47 | 100 |
| 1 0 6 | 38.23 | 13 |
| 0 2 0 | 43.81 | 19 |
| 2 0 0 | 43.91 | 19 |
| 2 2 0 | 63.76 | 12 |